Simulated powder diffraction line list
Compound: Ac2YCrO6
Radiation: λ = 1.5418 Å (Cu Kα)
Structure: a PBE+U-relaxed structure

Structural model:
Lattice parameters (Å, degrees): 10.1354 5.8555 5.9339 90.00 124.57 90.00
Space group C2/m (No. 12)
Inequivalent atoms, fractional coordinates:
Ac1 0.2469 0.0000 0.2322
Y1 0.0000 0.0000 0.5000
Cr1 0.0000 0.5000 0.0000
O1 0.0551 0.2588 0.8193
O2 0.2367 0.5000 0.3317

The 10 most intense peaks (2θ from 10° to 90°), in order of falling intensity:
d_spacing, Rel. int., (hkl)
2.927, 100.0, 3 1 -1
2.970, 99.3, 1 1 1
4.169, 53.1, 2 0 0
2.085, 51.3, 2 2 -2
1.699, 29.1, 4 2 0
2.396, 25.9, 2 2 0
1.723, 22.5, 2 0 2
1.690, 20.9, 3 3 -1
1.313, 17.8, 5 3 -3
1.463, 15.6, 0 4 0